(1)
For Ag2S, a PBE-relaxed structure gives the theoretical powder X-ray diffraction pattern in this record (a wavelength of 1.5418 Å).

Structural model:
abc: 7.035 4.779 7.680
angles: 90.00 90.76 90.00
Space group Cm (No. 8)
Asymmetric unit:
Ag  0.000  0.000  0.000 x2
Ag  0.009  0.000  0.497 x2
Ag  0.111  0.500  0.267 x2
Ag  0.407  0.000  0.727 x2
S  0.226  0.000  0.248 x2
S  0.292  0.500  0.746 x2

Largest 10 diffraction maxima, most intense first, 2θ from 15° to 90°:
2θ = 32.4°, intensity 100, (1 1 -2); 2θ = 32.6°, intensity 70, (1 1 2); 2θ = 37.6°, intensity 50, (0 2 0); 2θ = 47.4°, intensity 33, (0 0 4); 2θ = 25.3°, intensity 30, (2 0 0); 2θ = 28.0°, intensity 26, (2 0 1); 2θ = 27.8°, intensity 23, (2 0 -1); 2θ = 62.0°, intensity 19, (0 2 4); 2θ = 34.8°, intensity 18, (2 0 2); 2θ = 43.0°, intensity 18, (3 1 0)

(2)
For MgAl2O4, a PBE-relaxed structure gives the theoretical powder X-ray diffraction pattern in this record (a wavelength of 1.5418 Å).

Structural model:
abc: 8.759 2.814 10.033
angles: 90.00 90.00 90.00
Space group Pnma (No. 62)
Asymmetric unit:
Mg  0.246  0.250  0.152 x4
Al  0.059  0.250  0.383 x4
Al  0.087  0.250  0.896 x4
O  0.037  0.750  0.784 x4
O  0.088  0.250  0.570 x4
O  0.120  0.750  0.029 x4
O  0.201  0.750  0.332 x4

Largest 10 diffraction maxima, most intense first, 2θ from 15° to 90°:
2θ = 35.6°, intensity 100, (3 0 2); 2θ = 43.3°, intensity 95, (1 1 3); 2θ = 38.1°, intensity 70, (1 1 2); 2θ = 45.7°, intensity 65, (3 1 1); 2θ = 53.2°, intensity 61, (2 1 4); 2θ = 35.8°, intensity 58, (0 0 4); 2θ = 66.4°, intensity 47, (0 2 0); 2θ = 53.0°, intensity 41, (4 1 0); 2θ = 65.6°, intensity 40, (4 1 4); 2θ = 53.8°, intensity 38, (4 1 1)

(3)
For MgCdTe, a PBE-relaxed structure gives the theoretical powder X-ray diffraction pattern in this record (a wavelength of 1.5418 Å).

Structural model:
abc: 7.757 7.680 6.679
angles: 90.00 121.24 90.00
Space group Cc (No. 9)
Asymmetric unit:
Mg  0.000  0.187  0.000 x4
Cd  0.360  0.058  0.003 x4
Te  0.296  0.385  0.739 x4

Largest 10 diffraction maxima, most intense first, 2θ from 15° to 90°:
2θ = 29.3°, intensity 100, (1 1 -2); 2θ = 28.0°, intensity 78, (0 2 1); 2θ = 26.9°, intensity 70, (2 0 0); 2θ = 18.4°, intensity 51, (1 1 -1); 2θ = 38.2°, intensity 44, (3 1 -2); 2θ = 38.0°, intensity 40, (1 3 -1); 2θ = 42.1°, intensity 35, (1 1 2); 2θ = 44.8°, intensity 32, (2 2 1); 2θ = 47.3°, intensity 27, (2 2 -3); 2θ = 37.1°, intensity 27, (3 1 -1)

(4)
For CaN2Cl2, a PBE-relaxed structure gives the theoretical powder X-ray diffraction pattern in this record (a wavelength of 1.5418 Å).

Structural model:
abc: 5.674 7.638 12.131
angles: 90.00 90.00 90.00
Space group Aem2 (No. 39)
Asymmetric unit:
Ca  0.248  0.250  0.000 x4
N  0.044  0.250  0.324 x4
N  0.407  0.250  0.646 x4
Cl  0.000  0.000  0.109 x4
Cl  0.500  0.000  0.397 x4

Largest 10 diffraction maxima, most intense first, 2θ from 15° to 90°:
2θ = 31.9°, intensity 100, (1 2 2); 2θ = 29.5°, intensity 47, (1 1 3); 2θ = 20.8°, intensity 47, (1 1 1); 2θ = 21.4°, intensity 41, (1 0 2); 2θ = 39.6°, intensity 37, (2 2 0); 2θ = 37.9°, intensity 29, (0 2 4); 2θ = 43.7°, intensity 29, (2 0 4); 2θ = 42.4°, intensity 23, (2 2 2); 2θ = 47.6°, intensity 16, (0 4 0); 2θ = 51.1°, intensity 16, (0 2 6)